# 1
Diffraction record for RbHoSn2Cl8. The powder XRD pattern is theoretical, not measured: it uses a DFT-relaxed cell (GGA-PBE, Alexandria) and Cu Ka.
Lines closer than 0.1° are merged.

Peak list (6 most intense, 10° ≤ 2θ ≤ 90°, by intensity)
2θ 18.4, I 1000; 2θ 19.2, I 916; 2θ 24.2, I 730; 2θ 37.0, I 521; 2θ 23.6, I 507; 2θ 35.1, I 506

Structural model:
```
data_RbHoSn2Cl8
_chemical_formula_sum 'Rb1 Ho1 Sn2 Cl8'
_symmetry_space_group_name_H-M 'P 1'
_symmetry_Int_Tables_number 1
_cell_length_a 6.4721
_cell_length_b 6.9226
_cell_length_c 9.1364
_cell_angle_alpha 85.85
_cell_angle_beta 88.19
_cell_angle_gamma 87.43
loop_
_symmetry_equiv_pos_as_xyz
'x,y,z'
loop_
_atom_site_label
_atom_site_type_symbol
_atom_site_fract_x
_atom_site_fract_y
_atom_site_fract_z
Rb1 Rb 0.0000 0.0000 0.0000
Ho1 Ho 0.0000 0.0000 0.5000
Sn1 Sn 0.4882 0.4809 0.2533
Sn2 Sn 0.5118 0.5191 0.7467
Cl1 Cl 0.2181 0.8237 0.2976
Cl2 Cl 0.2333 0.3108 0.4608
Cl3 Cl 0.2531 0.8630 0.7091
Cl4 Cl 0.2774 0.3734 0.0445
Cl5 Cl 0.7226 0.6266 0.9555
Cl6 Cl 0.7469 0.1370 0.2909
Cl7 Cl 0.7667 0.6892 0.5392
Cl8 Cl 0.7819 0.1763 0.7024
```

# 2
Diffraction record for Pm4Te5O. The powder XRD pattern is theoretical, not measured: it uses a DFT-relaxed cell (GGA-PBE, Alexandria) and Cu Ka.
Lines closer than 0.1° are merged.

Peak list (6 most intense, 10° ≤ 2θ ≤ 90°, by intensity)
2θ 24.9, I 1000; 2θ 33.2, I 521; 2θ 36.8, I 384; 2θ 15.5, I 345; 2θ 21.0, I 333; 2θ 39.3, I 220

Structural model:
```
data_Pm4Te5O
_chemical_formula_sum 'Pm4 Te5 O1'
_symmetry_space_group_name_H-M 'P 1'
_symmetry_Int_Tables_number 1
_cell_length_a 8.7967
_cell_length_b 8.7967
_cell_length_c 11.4512
_cell_angle_alpha 106.87
_cell_angle_beta 106.87
_cell_angle_gamma 30.20
loop_
_symmetry_equiv_pos_as_xyz
'x,y,z'
loop_
_atom_site_label
_atom_site_type_symbol
_atom_site_fract_x
_atom_site_fract_y
_atom_site_fract_z
Pm1 Pm 0.0040 0.0040 0.3149
Pm2 Pm 0.3702 0.3702 0.9376
Pm3 Pm 0.6298 0.6298 0.0624
Pm4 Pm 0.9960 0.9960 0.6851
Te1 Te 0.1569 0.1569 0.8784
Te2 Te 0.1644 0.1644 0.2672
Te3 Te 0.5000 0.5000 0.5000
Te4 Te 0.8356 0.8356 0.7328
Te5 Te 0.8431 0.8431 0.1216
O1 O 0.5000 0.5000 0.0000
```

# 3
Diffraction record for CdGeH. The powder XRD pattern is theoretical, not measured: it uses a DFT-relaxed cell (GGA-PBE, Alexandria) and Cu Ka.
Lines closer than 0.1° are merged.

Peak list (6 most intense, 10° ≤ 2θ ≤ 90°, by intensity)
2θ 35.4, I 1000; 2θ 44.5, I 913; 2θ 26.0, I 657; 2θ 12.9, I 239; 2θ 69.9, I 227; 2θ 65.8, I 195

Structural model:
```
data_CdGeH
_chemical_formula_sum 'Cd1 Ge1 H1'
_symmetry_space_group_name_H-M 'P 1'
_symmetry_Int_Tables_number 1
_cell_length_a 2.9245
_cell_length_b 2.9245
_cell_length_c 6.8611
_cell_angle_alpha 90.00
_cell_angle_beta 90.00
_cell_angle_gamma 120.00
loop_
_symmetry_equiv_pos_as_xyz
'x,y,z'
loop_
_atom_site_label
_atom_site_type_symbol
_atom_site_fract_x
_atom_site_fract_y
_atom_site_fract_z
Cd1 Cd 0.0000 0.0000 0.0000
Ge1 Ge 0.0000 0.0000 0.4471
H1 H 0.0000 0.0000 0.6874
```

# 4
Diffraction record for K3Al2F9. The powder XRD pattern is theoretical, not measured: it uses a DFT-relaxed cell (GGA-PBE, Alexandria) and Cu Ka.
Lines closer than 0.1° are merged.

Peak list (6 most intense, 10° ≤ 2θ ≤ 90°, by intensity)
2θ 40.6, I 1000; 2θ 30.8, I 286; 2θ 25.9, I 274; 2θ 53.2, I 228; 2θ 38.1, I 189; 2θ 17.6, I 182

Structural model:
```
data_K3Al2F9
_chemical_formula_sum 'K6 Al4 F18'
_symmetry_space_group_name_H-M 'P 1'
_symmetry_Int_Tables_number 1
_cell_length_a 7.4888
_cell_length_b 7.4888
_cell_length_c 7.4888
_cell_angle_alpha 84.46
_cell_angle_beta 84.46
_cell_angle_gamma 84.46
loop_
_symmetry_equiv_pos_as_xyz
'x,y,z'
loop_
_atom_site_label
_atom_site_type_symbol
_atom_site_fract_x
_atom_site_fract_y
_atom_site_fract_z
K1 K 0.0946 0.7500 0.4054
K2 K 0.2500 0.5946 0.9054
K3 K 0.4054 0.0946 0.7500
K4 K 0.5946 0.9054 0.2500
K5 K 0.7500 0.4054 0.0946
K6 K 0.9054 0.2500 0.5946
Al1 Al 0.1536 0.1536 0.1536
Al2 Al 0.3464 0.3464 0.3464
Al3 Al 0.6536 0.6536 0.6536
Al4 Al 0.8464 0.8464 0.8464
F1 F 0.0565 0.9058 0.7458
F2 F 0.0942 0.2542 0.9435
F3 F 0.1125 0.3875 0.2500
F4 F 0.2458 0.4058 0.5565
F5 F 0.2500 0.1125 0.3875
F6 F 0.2542 0.9435 0.0942
F7 F 0.3875 0.2500 0.1125
F8 F 0.4058 0.5565 0.2458
F9 F 0.4435 0.7542 0.5942
F10 F 0.5565 0.2458 0.4058
F11 F 0.5942 0.4435 0.7542
F12 F 0.6125 0.7500 0.8875
F13 F 0.7458 0.0565 0.9058
F14 F 0.7500 0.8875 0.6125
F15 F 0.7542 0.5942 0.4435
F16 F 0.8875 0.6125 0.7500
F17 F 0.9058 0.7458 0.0565
F18 F 0.9435 0.0942 0.2542
```

# 5
Diffraction record for PmTlP2O8. The powder XRD pattern is theoretical, not measured: it uses a DFT-relaxed cell (GGA-PBE, Alexandria) and Cu Ka.
Lines closer than 0.1° are merged.

Peak list (6 most intense, 10° ≤ 2θ ≤ 90°, by intensity)
2θ 25.0, I 1000; 2θ 34.3, I 649; 2θ 19.1, I 633; 2θ 50.3, I 536; 2θ 31.7, I 301; 2θ 35.6, I 228

Structural model:
```
data_PmTlP2O8
_chemical_formula_sum 'Pm1 Tl1 P2 O8'
_symmetry_space_group_name_H-M 'P 1'
_symmetry_Int_Tables_number 1
_cell_length_a 5.8940
_cell_length_b 5.8940
_cell_length_c 5.8940
_cell_angle_alpha 105.58
_cell_angle_beta 105.58
_cell_angle_gamma 117.57
loop_
_symmetry_equiv_pos_as_xyz
'x,y,z'
loop_
_atom_site_label
_atom_site_type_symbol
_atom_site_fract_x
_atom_site_fract_y
_atom_site_fract_z
Pm1 Pm 0.0000 0.0000 0.0000
Tl1 Tl 0.2500 0.7500 0.5000
P1 P 0.5000 0.5000 0.0000
P2 P 0.7500 0.2500 0.5000
O1 O 0.3406 0.1701 0.8294
O2 O 0.3406 0.5112 0.1706
O3 O 0.4187 0.0893 0.3294
O4 O 0.4888 0.6594 0.8294
O5 O 0.7599 0.0893 0.6706
O6 O 0.8299 0.6594 0.1706
O7 O 0.9107 0.2401 0.3294
O8 O 0.9107 0.5813 0.6706
```

# 6
Diffraction record for Tb2Fe17. The powder XRD pattern is theoretical, not measured: it uses a DFT-relaxed cell (GGA-PBE, Alexandria) and Cu Ka.
Lines closer than 0.1° are merged.

Peak list (6 most intense, 10° ≤ 2θ ≤ 90°, by intensity)
2θ 43.0, I 1000; 2θ 42.6, I 593; 2θ 36.7, I 417; 2θ 30.2, I 404; 2θ 41.0, I 309; 2θ 44.0, I 308

Structural model:
```
data_Tb2Fe17
_chemical_formula_sum 'Tb4 Fe34'
_symmetry_space_group_name_H-M 'P 1'
_symmetry_Int_Tables_number 1
_cell_length_a 8.4812
_cell_length_b 8.4812
_cell_length_c 8.2378
_cell_angle_alpha 90.00
_cell_angle_beta 90.00
_cell_angle_gamma 120.00
loop_
_symmetry_equiv_pos_as_xyz
'x,y,z'
loop_
_atom_site_label
_atom_site_type_symbol
_atom_site_fract_x
_atom_site_fract_y
_atom_site_fract_z
Tb1 Tb 0.0000 0.0000 0.2500
Tb2 Tb 0.0000 0.0000 0.7500
Tb3 Tb 0.3333 0.6667 0.2500
Tb4 Tb 0.6667 0.3333 0.7500
Fe1 Fe 0.0000 0.5000 0.0000
Fe2 Fe 0.0000 0.5000 0.5000
Fe3 Fe 0.0403 0.3694 0.7500
Fe4 Fe 0.0403 0.6708 0.7500
Fe5 Fe 0.1659 0.3318 0.0155
Fe6 Fe 0.1659 0.3318 0.4845
Fe7 Fe 0.1659 0.8341 0.0155
Fe8 Fe 0.1659 0.8341 0.4845
Fe9 Fe 0.3292 0.3694 0.7500
Fe10 Fe 0.3292 0.9597 0.7500
Fe11 Fe 0.3318 0.1659 0.5155
Fe12 Fe 0.3318 0.1659 0.9845
Fe13 Fe 0.3333 0.6667 0.6064
Fe14 Fe 0.3333 0.6667 0.8936
Fe15 Fe 0.3694 0.0403 0.2500
Fe16 Fe 0.3694 0.3292 0.2500
Fe17 Fe 0.5000 0.0000 0.0000
Fe18 Fe 0.5000 0.0000 0.5000
Fe19 Fe 0.5000 0.5000 0.0000
Fe20 Fe 0.5000 0.5000 0.5000
Fe21 Fe 0.6306 0.6708 0.7500
Fe22 Fe 0.6306 0.9597 0.7500
Fe23 Fe 0.6667 0.3333 0.1064
Fe24 Fe 0.6667 0.3333 0.3936
Fe25 Fe 0.6682 0.8341 0.0155
Fe26 Fe 0.6682 0.8341 0.4845
Fe27 Fe 0.6708 0.0403 0.2500
Fe28 Fe 0.6708 0.6306 0.2500
Fe29 Fe 0.8341 0.1659 0.5155
Fe30 Fe 0.8341 0.1659 0.9845
Fe31 Fe 0.8341 0.6682 0.5155
Fe32 Fe 0.8341 0.6682 0.9845
Fe33 Fe 0.9597 0.3292 0.2500
Fe34 Fe 0.9597 0.6306 0.2500
```

Copy entry 2 word for word.
Diffraction record for Pm4Te5O. The powder XRD pattern is theoretical, not measured: it uses a DFT-relaxed cell (GGA-PBE, Alexandria) and Cu Ka.
Lines closer than 0.1° are merged.

Peak list (6 most intense, 10° ≤ 2θ ≤ 90°, by intensity)
2θ 24.9, I 1000; 2θ 33.2, I 521; 2θ 36.8, I 384; 2θ 15.5, I 345; 2θ 21.0, I 333; 2θ 39.3, I 220

Structural model:
```
data_Pm4Te5O
_chemical_formula_sum 'Pm4 Te5 O1'
_symmetry_space_group_name_H-M 'P 1'
_symmetry_Int_Tables_number 1
_cell_length_a 8.7967
_cell_length_b 8.7967
_cell_length_c 11.4512
_cell_angle_alpha 106.87
_cell_angle_beta 106.87
_cell_angle_gamma 30.20
loop_
_symmetry_equiv_pos_as_xyz
'x,y,z'
loop_
_atom_site_label
_atom_site_type_symbol
_atom_site_fract_x
_atom_site_fract_y
_atom_site_fract_z
Pm1 Pm 0.0040 0.0040 0.3149
Pm2 Pm 0.3702 0.3702 0.9376
Pm3 Pm 0.6298 0.6298 0.0624
Pm4 Pm 0.9960 0.9960 0.6851
Te1 Te 0.1569 0.1569 0.8784
Te2 Te 0.1644 0.1644 0.2672
Te3 Te 0.5000 0.5000 0.5000
Te4 Te 0.8356 0.8356 0.7328
Te5 Te 0.8431 0.8431 0.1216
O1 O 0.5000 0.5000 0.0000
```